Theoretical powder X-ray diffraction pattern of InMoP for Cu Kα, from a structure optimized by DFT (PBE).
Intensities are scaled so that the largest is 100.

Most intense lines, 15 to 90 degrees two-theta, low angle first:
- 2θ 25.2, I = 19.0
- 2θ 34.7, I = 100.0
- 2θ 44.3, I = 40.9
- 2θ 48.1, I = 10.6
- 2θ 51.6, I = 2.7
- 2θ 55.0, I = 4.5
- 2θ 57.5, I = 22.2
- 2θ 67.5, I = 22.5
- 2θ 75.3, I = 19.8
- 2θ 80.9, I = 8.2
- 2θ 81.6, I = 6.7
- 2θ 89.8, I = 2.3

Structure:
```
data_InMoP
_chemical_formula_sum 'In1 Mo1 P1'
_space_group_name_H-M_alt 'P -6 m 2'
_space_group_IT_number 187
_space_group_name_Hall 'P -6 2'
_cell_length_a 4.0883
_cell_length_b 4.0883
_cell_length_c 3.7826
_cell_angle_alpha 90.00
_cell_angle_beta 90.00
_cell_angle_gamma 120.00
loop_
_atom_site_label
_atom_site_fract_x
_atom_site_fract_y
_atom_site_fract_z
_atom_site_occupancy
In1 0.0000 0.0000 0.0000 1
Mo1 0.6667 0.3333 0.5000 1
P1 0.3333 0.6667 0.5000 1
```